Computed powder X-ray diffraction pattern of MgMn2O5 for Cu Kα, from a DFT-relaxed cell (GGA+U, Alexandria).
Neutral-atom scattering factors, no anomalous dispersion.

Cell lengths 3.562, 11.604, 4.497 Å; angles 90.00, 90.00, 90.00 degrees
Fractional coordinates of all 16 atoms:
1 Mg 0.250 0.250 0.072
2 Mg 0.750 0.750 0.928
3 Mn 0.250 0.599 0.457
4 Mn 0.250 0.901 0.457
5 Mn 0.750 0.099 0.543
6 Mn 0.750 0.401 0.543
7 O 0.250 0.074 0.436
8 O 0.250 0.426 0.436
9 O 0.250 0.637 0.077
10 O 0.250 0.750 0.605
11 O 0.250 0.863 0.077
12 O 0.750 0.137 0.923
13 O 0.750 0.250 0.395
14 O 0.750 0.363 0.923
15 O 0.750 0.574 0.564
16 O 0.750 0.926 0.564

Largest 10 diffraction maxima, by angle, 2θ from 10° to 80°:
2θ (°), d (Å), I_rel
19.7, 4.497, 100
25.1, 3.554, 51
26.2, 3.405, 45
30.8, 2.901, 25
33.0, 2.715, 41
34.2, 2.620, 48
36.9, 2.438, 22
40.1, 2.248, 37
51.3, 1.781, 31
51.4, 1.777, 26